This entry pairs a crystal structure of CaNi2PdO5 with its calculated XRD peak list. Radiation: Cu Kα (weighted mean of Kα1 and Kα2). Structure: DFT lattice parameters and positions (GGA+U).
Lines closer than 0.1° are merged.

Main lines, low angle first (2θ = 15–90°):
Position (°2θ)	I/Imax
18.7	35.1
33.4	100.0
35.1	9.7
46.5	15.9
47.6	9.6
49.1	15.3
49.2	18.5
58.5	7.0
59.6	18.7
70.1	15.3

Structure:
Unit cell a=3.9026 b=5.3716 c=10.2148 alpha=90.00 beta=90.00 gamma=90.00
Space group Immm (No. 71)
Asymmetric unit:
Ca1 0.0000 0.0000 0.0000 [2 per cell]
Ni1 0.0000 0.5000 0.2130 [4 per cell]
Pd1 0.0000 0.0000 0.5000 [2 per cell]
O1 0.0000 0.2560 0.3580 [8 per cell]
O2 0.0000 0.5000 0.0000 [2 per cell]

***

This entry pairs a crystal structure of Ag6Mo2ClO7F3 with its calculated XRD peak list. Radiation: Cu Kα (weighted mean of Kα1 and Kα2). Structure: DFT lattice parameters and positions (GGA+U).
Lines closer than 0.1° are merged.

Main lines, low angle first (2θ = 15–90°):
Position (°2θ)	I/Imax
27.1	25.3
29.9	22.9
31.0	100.0
40.7	23.8
47.8	26.4
53.7	18.9
57.4	20.1
58.1	15.9
74.7	6.0
78.5	13.4

Structure:
Unit cell a=7.6063 b=7.6063 c=5.9849 alpha=90.00 beta=90.00 gamma=120.00
Space group P3m1 (No. 156)
Asymmetric unit:
Ag1 0.0059 0.5029 0.0000 [3 per cell]
Ag2 0.3593 0.1797 0.4469 [3 per cell]
Mo1 0.0000 0.0000 0.9411 [1 per cell]
Mo2 0.3333 0.6667 0.5119 [1 per cell]
Cl1 0.6667 0.3333 0.7576 [1 per cell]
O1 0.0802 0.5401 0.3952 [3 per cell]
O2 0.2457 0.1228 0.0755 [3 per cell]
O3 0.3333 0.6667 0.8192 [1 per cell]
F1 0.1152 0.2305 0.6949 [3 per cell]

***

What is the formula in the first record?
CaNi2PdO5